[1]
Na3SbI6: simulated PXRD pattern (CuKα), based on a crystal structure in the Materials Project, relaxed with PBE.
Intensities are scaled so that the largest is 100.

Principal peaks in the range 10 to 90 degrees two-theta, in order of falling intensity:
2θ 29.24, d 3.054, I = 100; 2θ 25.26, d 3.526, I = 93; 2θ 41.83, d 2.159, I = 74; 2θ 14.50, d 6.108, I = 73; 2θ 49.50, d 1.842, I = 43; 2θ 32.79, d 2.731, I = 39; 2θ 68.73, d 1.366, I = 33; 2θ 51.86, d 1.763, I = 26; 2θ 76.39, d 1.247, I = 24; 2θ 44.50, d 2.036, I = 21

Structure:
```
10
Lattice="0.000 6.108 6.108 6.108 0.000 6.108 6.108 6.108 0.000" Properties=species:S:1:pos:R:3 pbc="T T T"
Na 0.000 0.000 0.000
Na 3.054 3.054 3.054
Na 9.162 9.162 9.162
Sb 6.108 6.108 6.108
I 6.108 6.108 3.099
I 6.108 3.099 6.108
I 9.116 6.108 6.108
I 3.099 6.108 6.108
I 6.108 9.116 6.108
I 6.108 6.108 9.116
```

***

[2]
UNiSn: simulated PXRD pattern (CuKα), based on a crystal structure in the Materials Project, relaxed with PBE.
Intensities are scaled so that the largest is 100.

Principal peaks in the range 10 to 90 degrees two-theta, in order of falling intensity:
2θ 38.09, d 2.363, I = 100; 2θ 23.05, d 3.858, I = 56; 2θ 68.83, d 1.364, I = 36; 2θ 44.99, d 2.015, I = 31; 2θ 26.68, d 3.341, I = 21; 2θ 54.96, d 1.671, I = 18; 2θ 60.38, d 1.533, I = 13; 2θ 81.48, d 1.181, I = 12; 2θ 86.08, d 1.130, I = 11; 2θ 73.66, d 1.286, I = 11

Structure:
```
3
Lattice="0.000 3.341 3.341 3.341 0.000 3.341 3.341 3.341 0.000" Properties=species:S:1:pos:R:3 pbc="T T T"
U 0.000 0.000 0.000
Ni 3.341 3.341 3.341
Sn 5.012 5.012 5.012
```

***

[3]
Ba2EuMgNbO6: simulated PXRD pattern (CuKα), based on a crystal structure in the Materials Project, relaxed with PBE.
Intensities are scaled so that the largest is 100.

Principal peaks in the range 10 to 90 degrees two-theta, in order of falling intensity:
2θ 29.79, d 2.999, I = 100; 2θ 29.66, d 3.012, I = 49; 2θ 43.19, d 2.095, I = 43; 2θ 30.56, d 2.925, I = 34; 2θ 31.49, d 2.841, I = 32; 2θ 31.62, d 2.830, I = 31; 2θ 26.65, d 3.345, I = 26; 2θ 52.66, d 1.738, I = 25; 2θ 44.61, d 2.031, I = 21; 2θ 27.52, d 3.241, I = 14

Structure:
```
11
Lattice="6.001 0.000 0.000 -2.974 5.213 0.000 -2.780 -1.629 5.719" Properties=species:S:1:pos:R:3 pbc="T T T"
Ba 0.000 0.000 0.000
Ba 0.174 0.077 4.045
Eu 3.107 1.782 1.870
Mg 0.284 3.571 2.438
Nb -2.780 1.836 4.958
O -1.575 2.797 0.241
O -1.202 2.567 3.627
O 1.198 2.532 0.623
O 0.160 5.044 0.504
O 3.181 0.115 3.664
O 1.860 2.861 3.653
```

***

[4]
CeGe3Ir: simulated PXRD pattern (CuKα), based on a crystal structure in the Materials Project, relaxed with PBE.
Intensities are scaled so that the largest is 100.

Principal peaks in the range 10 to 90 degrees two-theta, in order of falling intensity:
2θ 33.42, d 2.681, I = 100; 2θ 40.69, d 2.217, I = 86; 2θ 33.64, d 2.664, I = 75; 2θ 53.64, d 1.709, I = 53; 2θ 28.46, d 3.136, I = 47; 2θ 21.89, d 4.061, I = 46; 2θ 46.16, d 1.966, I = 39; 2θ 58.90, d 1.568, I = 29; 2θ 62.65, d 1.483, I = 22; 2θ 49.60, d 1.838, I = 21

Structure:
```
5
Lattice="-2.217 2.217 5.049 2.217 -2.217 5.049 2.217 2.217 -5.049" Properties=species:S:1:pos:R:3 pbc="T T T"
Ce 0.000 0.000 0.000
Ge 2.217 0.000 2.697
Ge 0.000 0.000 4.288
Ge 0.000 2.217 2.697
Ir 0.000 0.000 6.693
```

***

[5]
Ba2NF: simulated PXRD pattern (CuKα), based on a crystal structure in the Materials Project, relaxed with PBE.
Intensities are scaled so that the largest is 100.

Principal peaks in the range 10 to 90 degrees two-theta, in order of falling intensity:
2θ 26.92, d 3.312, I = 100; 2θ 30.78, d 2.905, I = 60; 2θ 44.97, d 2.016, I = 41; 2θ 52.41, d 1.746, I = 33; 2θ 31.97, d 2.799, I = 27; 2θ 44.09, d 2.054, I = 22; 2θ 55.49, d 1.656, I = 21; 2θ 53.96, d 1.699, I = 15; 2θ 81.72, d 1.178, I = 14; 2θ 72.15, d 1.309, I = 13

Structure:
```
4
Lattice="4.108 0.000 0.000 0.000 4.108 0.000 0.000 0.000 5.599" Properties=species:S:1:pos:R:3 pbc="T T T"
Ba 0.000 0.000 0.000
Ba 2.054 2.054 2.799
N 0.000 0.000 2.799
F 2.054 2.054 0.000
```

***

[6]
PtI4: simulated PXRD pattern (CuKα), based on a crystal structure in the Materials Project, relaxed with PBE.
Intensities are scaled so that the largest is 100.

Principal peaks in the range 10 to 90 degrees two-theta, in order of falling intensity:
2θ 28.96, d 3.084, I = 100; 2θ 14.30, d 6.192, I = 66; 2θ 28.80, d 3.100, I = 45; 2θ 45.02, d 2.014, I = 39; 2θ 11.05, d 8.004, I = 36; 2θ 32.99, d 2.715, I = 29; 2θ 18.10, d 4.902, I = 27; 2θ 32.63, d 2.744, I = 24; 2θ 45.32, d 2.001, I = 22; 2θ 54.60, d 1.681, I = 20

Structure:
```
40
Lattice="6.990 0.000 0.000 0.000 13.428 0.000 0.000 0.000 16.008" Properties=species:S:1:pos:R:3 pbc="T T T"
Pt 0.662 2.170 3.020
Pt 0.662 4.545 11.024
Pt 2.833 8.884 3.020
Pt 2.833 11.259 11.024
Pt 4.157 2.170 4.984
Pt 4.157 4.545 12.988
Pt 6.328 8.884 4.984
Pt 6.328 11.259 12.988
I 0.409 9.628 14.884
I 0.409 10.515 6.880
I 0.599 9.780 11.091
I 0.599 10.362 3.087
I 1.526 7.346 5.010
I 1.526 12.797 13.014
I 1.724 7.364 1.098
I 1.724 12.779 9.102
I 1.771 0.650 1.098
I 1.771 6.064 9.102
I 1.969 0.632 5.010
I 1.969 6.082 13.014
I 2.896 3.066 11.091
I 2.896 3.648 3.087
I 3.086 2.914 14.884
I 3.086 3.801 6.880
I 3.904 9.628 9.128
I 3.904 10.515 1.124
I 4.094 9.780 12.921
I 4.094 10.362 4.917
I 5.021 7.346 2.994
I 5.021 12.797 10.998
I 5.219 7.364 6.906
I 5.219 12.779 14.910
I 5.266 0.650 6.906
I 5.266 6.064 14.910
I 5.464 0.632 2.994
I 5.464 6.082 10.998
I 6.391 3.066 12.921
I 6.391 3.648 4.917
I 6.581 2.914 9.128
I 6.581 3.801 1.124
```

***

[7]
NaYCl4: simulated PXRD pattern (CuKα), based on a crystal structure in the Materials Project, relaxed with PBE.
Intensities are scaled so that the largest is 100.

Principal peaks in the range 10 to 90 degrees two-theta, in order of falling intensity:
2θ 12.53, d 7.064, I = 100; 2θ 31.06, d 2.879, I = 65; 2θ 21.52, d 4.130, I = 62; 2θ 37.29, d 2.412, I = 54; 2θ 20.88, d 4.255, I = 53; 2θ 37.18, d 2.418, I = 47; 2θ 42.48, d 2.128, I = 43; 2θ 18.32, d 4.842, I = 38; 2θ 17.03, d 5.208, I = 36; 2θ 29.67, d 3.011, I = 34

Structure:
```
12
Lattice="6.684 0.000 0.000 1.354 6.633 0.000 0.269 0.022 7.064" Properties=species:S:1:pos:R:3 pbc="T T T"
Na 1.825 1.310 0.250
Na 6.482 5.344 6.814
Y 2.479 4.656 3.144
Y 5.828 1.998 3.920
Cl 1.195 3.355 5.236
Cl 0.832 0.029 4.985
Cl 3.701 5.262 0.950
Cl 3.423 2.090 2.697
Cl 4.884 4.565 4.367
Cl 4.606 1.392 6.114
Cl 7.475 6.625 2.079
Cl 7.112 3.300 1.828
```

***

[8]
Ce4MgTi2O10: simulated PXRD pattern (CuKα), based on a crystal structure in the Materials Project, relaxed with PBE.
Intensities are scaled so that the largest is 100.

Principal peaks in the range 10 to 90 degrees two-theta, in order of falling intensity:
2θ 29.52, d 3.026, I = 100; 2θ 17.08, d 5.192, I = 83; 2θ 32.52, d 2.753, I = 70; 2θ 27.00, d 3.303, I = 67; 2θ 25.62, d 3.477, I = 53; 2θ 39.28, d 2.293, I = 52; 2θ 40.18, d 2.244, I = 46; 2θ 31.35, d 2.854, I = 41; 2θ 41.92, d 2.155, I = 35; 2θ 27.62, d 3.230, I = 31

Structure:
```
17
Lattice="5.497 0.000 0.000 2.004 6.018 0.000 1.478 2.326 6.954" Properties=species:S:1:pos:R:3 pbc="T T T"
Ce 0.000 0.000 0.000
Ce 1.049 1.741 3.228
Ce 3.281 5.147 6.560
Ce 6.717 4.955 3.634
Mg 3.311 0.916 1.615
Ti 4.262 3.906 1.618
Ti 4.012 2.051 5.090
O 2.272 3.309 4.969
O 3.257 5.671 2.129
O 2.559 2.806 1.804
O 5.112 6.681 6.583
O 5.410 6.865 3.628
O 4.600 3.248 6.559
O 4.907 3.417 3.608
O 5.968 4.987 1.433
O 5.261 2.082 1.121
O 7.744 6.800 5.221
```

***

Question: Which formula does entry 8 have?
Answer: Ce4MgTi2O10